Diffraction record for Nd8Dy2Er3. The X-ray diffraction stick pattern is simulated, not measured: it uses the GGA-PBE geometry in Alexandria and Cu Kα (weighted mean of Kα1 and Kα2).
Peak positions follow from Bragg's law for the DFT cell and can differ from measured ones.

Largest 10 diffraction maxima, by angle, 10 to 90 degrees two-theta:
two_theta  Rel. int.
24.66  24
29.25  43
30.56  34
31.26  44
33.04  100
35.15  23
40.22  13
47.75  19
56.78  21
63.62  12

Structural model:
```
data_Nd8Dy2Er3
_chemical_formula_sum 'Nd8 Dy2 Er3'
_space_group_name_H-M_alt 'P 1'
_space_group_IT_number 1
_cell_length_a 10.916
_cell_length_b 10.916
_cell_length_c 5.722
_cell_angle_alpha 90.01
_cell_angle_beta 90.01
_cell_angle_gamma 41.41
loop_
_space_group_symop_operation_xyz
'x,y,z'
loop_
_atom_site_label
_atom_site_type_symbol
_atom_site_fract_x
_atom_site_fract_y
_atom_site_fract_z
Nd1 Nd 0.099 0.690 0.000
Nd2 Nd 0.173 0.173 0.501
Nd3 Nd 0.310 0.901 0.000
Nd4 Nd 0.369 0.369 0.500
Nd5 Nd 0.631 0.631 0.500
Nd6 Nd 0.690 0.099 0.000
Nd7 Nd 0.827 0.827 0.499
Nd8 Nd 0.901 0.310 0.000
Dy1 Dy 0.260 0.260 0.001
Dy2 Dy 0.740 0.740 0.999
Er1 Er 0.215 0.785 0.500
Er2 Er 0.500 0.500 0.000
Er3 Er 0.785 0.215 0.500
```